# CaAlOs
Computed powder X-ray diffraction pattern, Cu Kα, 1.54184 Å. Input: a structure optimized by DFT (PBE).

Cell lengths 5.8104, 12.3842, 7.7429 Å; angles 90.00, 90.00, 90.00 degrees
Space group Cmce (No. 64)
One atom of each set of equivalent atoms:
Ca (0.0000, 0.1733, 0.1140) [8 per cell]
Al (0.2500, 0.0831, 0.7500) [8 per cell]
Os (0.0000, 0.0949, 0.5027) [8 per cell]

Peak list (12 most intense, 2θ from 15° to 90°, low angle first)
(1 1 1), 2θ 20.41, intensity 100
(0 0 2), 2θ 22.97, intensity 26
(0 4 0), 2θ 28.84, intensity 15
(2 0 0), 2θ 30.78, intensity 19
(0 4 2), 2θ 37.18, intensity 9
(2 0 2), 2θ 38.75, intensity 25
(1 1 3), 2θ 38.87, intensity 28
(1 5 1), 2θ 41.30, intensity 36
(2 4 2), 2θ 49.03, intensity 22
(1 5 3), 2θ 53.66, intensity 12
(2 6 2), 2θ 59.94, intensity 11
(3 5 1), 2θ 62.00, intensity 11

---

# Pm3SBr3
Computed powder X-ray diffraction pattern, Cu Kα, 1.54184 Å. Input: a structure optimized by DFT (PBE).

Cell lengths 7.0181, 7.0181, 31.9621 Å; angles 90.00, 90.00, 120.00 degrees
Space group R-3 (No. 148, hexagonal axes)
One atom of each set of equivalent atoms:
Pm (0.0000, 0.3421, 0.4522) [18 per cell]
S (0.0000, 0.0000, 0.1667) [6 per cell]
Br (0.0000, 0.3291, 0.6064) [18 per cell]

Peak list (12 most intense, 2θ from 15° to 90°, low angle first)
(0 0 6), 2θ 16.64, intensity 12
(1 1 0), 2θ 25.38, intensity 24
(1 1 6), 2θ 30.51, intensity 100
(1 1 9), 2θ 35.98, intensity 12
(2 -1 12), 2θ 42.62, intensity 26
(3 0 0), 2θ 44.73, intensity 28
(4 -2 6), 2θ 55.11, intensity 18
(3 0 12), 2θ 57.12, intensity 9
(2 2 12), 2θ 63.49, intensity 8
(3 0 18), 2θ 70.52, intensity 8
(4 1 6), 2θ 73.60, intensity 15
(5 -1 12), 2θ 80.98, intensity 8

---

# Na8Hg6Au
Computed powder X-ray diffraction pattern, Cu Kα, 1.54184 Å. Input: a structure optimized by DFT (PBE).

Cell lengths 10.4646, 10.4646, 4.5582 Å; angles 90.00, 90.00, 120.00 degrees
Space group P-3 (No. 147)
One atom of each set of equivalent atoms:
Na (0.0457, 0.7645, 0.2447) [6 per cell]
Na (0.3333, 0.6667, 0.7508) [2 per cell]
Hg (0.0881, 0.4816, 0.2506) [6 per cell]
Au (0.0000, 0.0000, 0.5000) [1 per cell]

Peak list (12 most intense, 2θ from 15° to 90°, low angle first)
(2 0 0), 2θ 19.59, intensity 77
(1 0 1), 2θ 21.83, intensity 37
(1 1 1), 2θ 25.97, intensity 55
(3 -2 1), 2θ 32.70, intensity 100
(3 0 1), 2θ 35.68, intensity 49
(1 3 1), 2θ 41.01, intensity 17
(1 4 0), 2θ 45.89, intensity 27
(3 -2 2), 2θ 47.94, intensity 18
(5 -4 1), 2θ 50.29, intensity 13
(4 2 1), 2θ 57.48, intensity 19
(1 4 2), 2θ 62.14, intensity 14
(8 -3 1), 2θ 76.49, intensity 15